Record 1
# BiAs2O6
Computed X-ray diffraction stick pattern, CuKα. Input: a crystal structure in Alexandria, relaxed with PBE.
Lines closer than 0.1° are merged.

Main lines, low angle first (2θ from 10° to 90°):
2θ (°)	I (rel.)	hkl
16.15	55.9	0 0 1
16.37	36.2	1 0 0
23.08	100.0	1 0 1
28.56	59.4	1 1 0
32.98	58.0	1 1 1
36.72	41.1	1 0 2
37.03	16.8	0 2 1
47.16	27.6	0 2 2
47.42	26.6	2 1 1
52.82	16.7	0 1 3
53.45	15.2	0 3 1
56.06	21.1	2 1 2

Structure:
```
data_BiAs2O6
_chemical_formula_sum 'Bi1 As2 O6'
_cell_length_a 6.2515
_cell_length_b 6.2515
_cell_length_c 5.4883
_cell_angle_alpha 90.00
_cell_angle_beta 90.00
_cell_angle_gamma 120.00
_space_group_name_H-M_alt 'P -3 m 1'
_space_group_IT_number 164
_space_group_name_Hall '-P 3 2"'
loop_
_atom_site_label
_atom_site_type_symbol
_atom_site_fract_x
_atom_site_fract_y
_atom_site_fract_z
Bi1 Bi 0.0000 0.0000 0.0000
As1 As 0.3333 0.6667 0.8261
O1 O 0.1799 0.3599 0.7558
```


Record 2
# UBi4As2O16
Computed X-ray diffraction stick pattern, CuKα. Input: a crystal structure in Alexandria, relaxed with PBE.
Lines closer than 0.1° are merged.

Main lines, low angle first (2θ from 10° to 90°):
2θ (°)	I (rel.)	hkl
15.03	48.9	0 1 1
18.02	49.3	0 1 -1
18.59	39.5	1 1 1
19.69	55.3	1 0 -1
26.12	100.0	-1 1 1
28.47	84.8	1 1 -2
28.86	93.7	1 0 3
29.52	64.8	1 2 2
31.78	47.5	0 2 -1
32.45	45.8	2 1 1
34.04	58.6	0 1 4
55.90	29.0	1 3 -3

Structure:
```
data_UBi4As2O16
_chemical_formula_sum 'U1 Bi4 As2 O16'
_cell_length_a 5.5637
_cell_length_b 6.6435
_cell_length_c 10.9887
_cell_angle_alpha 75.61
_cell_angle_beta 79.63
_cell_angle_gamma 72.08
_space_group_name_H-M_alt 'P -1'
_space_group_IT_number 2
_space_group_name_Hall '-P 1'
loop_
_atom_site_label
_atom_site_type_symbol
_atom_site_fract_x
_atom_site_fract_y
_atom_site_fract_z
U1 U 0.0000 0.0000 0.0000
Bi1 Bi 0.0007 0.5961 0.3232
Bi2 Bi 0.4051 0.7721 0.5405
As1 As 0.3811 0.0745 0.2223
O1 O 0.1500 0.6704 0.6853
O2 O 0.1713 0.7320 0.0860
O3 O 0.1902 0.1520 0.1040
O4 O 0.2623 0.5039 0.4819
O5 O 0.2717 0.1027 0.5585
O6 O 0.2925 0.8710 0.3393
O7 O 0.3077 0.0365 0.8354
O8 O 0.3716 0.2944 0.2835
```


Record 3
# BiAsOs
Computed X-ray diffraction stick pattern, CuKα. Input: a crystal structure in Alexandria, relaxed with PBE.
Lines closer than 0.1° are merged.

Main lines, low angle first (2θ from 10° to 90°):
2θ (°)	I (rel.)	hkl
20.76	96.8	2 0 0
25.04	23.6	1 0 1
30.98	100.0	2 0 1
32.74	47.8	2 1 1
33.10	53.3	3 1 0
40.54	87.0	1 3 1
42.24	34.5	4 0 0
46.45	32.5	0 0 2
50.94	57.4	3 3 1
53.30	23.0	2 4 1
53.54	24.3	3 4 0
58.22	21.7	3 1 2

Structure:
```
data_BiAsOs
_chemical_formula_sum 'Bi4 As4 Os4'
_cell_length_a 8.5581
_cell_length_b 8.5581
_cell_length_c 3.9101
_cell_angle_alpha 90.00
_cell_angle_beta 90.00
_cell_angle_gamma 90.00
_space_group_name_H-M_alt 'P 42/m'
_space_group_IT_number 84
_space_group_name_Hall '-P 4c'
loop_
_atom_site_label
_atom_site_type_symbol
_atom_site_fract_x
_atom_site_fract_y
_atom_site_fract_z
Bi1 Bi 0.0594 0.7392 0.0000
As1 As 0.2652 0.4617 0.5000
Os1 Os 0.2584 0.2935 0.0000
```


Record 4
# BiAsOsSe2
Computed X-ray diffraction stick pattern, CuKα. Input: a crystal structure in Alexandria, relaxed with PBE.
Lines closer than 0.1° are merged.

Main lines, low angle first (2θ from 10° to 90°):
2θ (°)	I (rel.)	hkl
24.68	54.9	1 1 0
25.98	100.0	1 0 1
31.43	42.0	1 1 1
35.18	92.8	2 0 0
38.89	35.3	0 0 2
44.25	50.1	2 1 1
46.61	21.1	1 1 2
50.60	33.2	2 2 0
53.44	56.5	2 0 2
65.60	30.6	2 2 2
85.02	15.5	4 2 0
87.26	14.8	4 0 2

Structure:
```
data_BiAsOsSe2
_chemical_formula_sum 'Bi1 As1 Os1 Se2'
_cell_length_a 5.1022
_cell_length_b 5.1022
_cell_length_c 4.6310
_cell_angle_alpha 90.00
_cell_angle_beta 90.00
_cell_angle_gamma 90.00
_space_group_name_H-M_alt 'P 4/m m m'
_space_group_IT_number 123
_space_group_name_Hall '-P 4 2'
loop_
_atom_site_label
_atom_site_type_symbol
_atom_site_fract_x
_atom_site_fract_y
_atom_site_fract_z
Bi1 Bi 0.0000 0.0000 0.0000
As1 As 0.5000 0.5000 0.0000
Os1 Os 0.5000 0.5000 0.5000
Se1 Se 0.0000 0.5000 0.5000
```


Record 5
# Tb6BiAs3P2
Computed X-ray diffraction stick pattern, CuKα. Input: a crystal structure in Alexandria, relaxed with PBE.
Lines closer than 0.1° are merged.

Main lines, low angle first (2θ from 10° to 90°):
2θ (°)	I (rel.)	hkl
26.27	13.4	3 1 0
30.37	100.0	1 1 -2
43.36	36.2	2 0 -4
43.62	37.4	0 2 0
53.64	6.1	4 0 4
53.99	6.5	8 0 -4
54.12	13.0	6 2 0
63.19	11.7	2 2 -4
71.44	5.2	3 1 -6
71.57	10.0	4 2 4
71.90	16.5	1 3 -2
79.99	9.9	5 3 2

Structure:
```
data_Tb6BiAs3P2
_chemical_formula_sum 'Tb12 Bi2 As6 P4'
_cell_length_a 18.1120
_cell_length_b 4.1469
_cell_length_c 8.3578
_cell_angle_alpha 90.00
_cell_angle_beta 102.98
_cell_angle_gamma 90.00
_space_group_name_H-M_alt 'C 1 2/m 1'
_space_group_IT_number 12
_space_group_name_Hall '-C 2y'
loop_
_atom_site_label
_atom_site_type_symbol
_atom_site_fract_x
_atom_site_fract_y
_atom_site_fract_z
Tb1 Tb 0.0040 0.0000 0.2691
Tb2 Tb 0.1697 0.5000 0.5798
Tb3 Tb 0.1746 0.5000 0.0945
Bi1 Bi 0.0000 0.5000 0.0000
As1 As 0.0000 0.5000 0.5000
As2 As 0.1641 0.0000 0.8316
P1 P 0.1683 0.0000 0.3363
```


Record 6
# BiAs2Pb
Computed X-ray diffraction stick pattern, CuKα. Input: a crystal structure in Alexandria, relaxed with PBE.
Lines closer than 0.1° are merged.

Main lines, low angle first (2θ from 10° to 90°):
2θ (°)	I (rel.)	hkl
25.61	56.7	1 1 0
29.52	100.0	1 0 2
29.92	48.4	0 2 0
42.18	19.3	2 0 0
42.31	19.1	0 0 4
42.54	75.4	1 2 2
50.05	20.2	2 1 2
52.57	20.5	2 2 0
52.68	20.2	0 2 4
69.68	17.8	2 2 4
70.31	17.4	1 4 2
77.35	13.5	3 2 2

Structure:
```
data_BiAs2Pb
_chemical_formula_sum 'Bi2 As4 Pb2'
_cell_length_a 4.2853
_cell_length_b 5.9725
_cell_length_c 8.5446
_cell_angle_alpha 90.00
_cell_angle_beta 90.00
_cell_angle_gamma 90.00
_space_group_name_H-M_alt 'P m m n'
_space_group_IT_number 59
loop_
_space_group_symop_operation_xyz
'x,y,z'
'-x,-y,-z'
'-x+1/2,-y+1/2,z'
'x+1/2,y+1/2,-z'
'x+1/2,-y,-z'
'-x+1/2,y,z'
'-x,y+1/2,-z'
'x,-y+1/2,z'
loop_
_atom_site_label
_atom_site_type_symbol
_atom_site_fract_x
_atom_site_fract_y
_atom_site_fract_z
Bi1 Bi 0.2500 0.2500 0.1280
As1 As 0.2500 0.7500 0.1197
As2 As 0.2500 0.7500 0.6267
Pb1 Pb 0.2500 0.2500 0.6247
```


Record 7
# Bi2As2Pd5
Computed X-ray diffraction stick pattern, CuKα. Input: a crystal structure in Alexandria, relaxed with PBE.
Lines closer than 0.1° are merged.

Main lines, low angle first (2θ from 10° to 90°):
2θ (°)	I (rel.)	hkl
13.54	51.7	0 0 1
22.16	74.0	1 1 -1
22.96	38.3	2 0 -2
28.80	54.0	3 1 -1
31.81	45.7	3 1 -2
32.09	44.3	3 1 0
34.47	78.2	4 0 0
38.39	100.0	0 2 0
39.85	64.8	3 1 -3
42.13	83.7	1 1 -3
45.09	52.5	5 1 -3
52.54	47.3	4 2 0

Structure:
```
data_Bi2As2Pd5
_chemical_formula_sum 'Bi4 As4 Pd10'
_cell_length_a 12.3976
_cell_length_b 4.6895
_cell_length_c 7.7870
_cell_angle_alpha 90.00
_cell_angle_beta 122.90
_cell_angle_gamma 90.00
_space_group_name_H-M_alt 'C 1 2/m 1'
_space_group_IT_number 12
_space_group_name_Hall '-C 2y'
loop_
_atom_site_label
_atom_site_type_symbol
_atom_site_fract_x
_atom_site_fract_y
_atom_site_fract_z
Bi1 Bi 0.1289 0.0000 0.4174
As1 As 0.1220 0.5000 0.8926
Pd1 Pd 0.0000 0.5000 0.5000
Pd2 Pd 0.1113 0.5000 0.2033
Pd3 Pd 0.1467 0.0000 0.7859
```


Repeat the seventh record exactly.
# Bi2As2Pd5
Computed X-ray diffraction stick pattern, CuKα. Input: a crystal structure in Alexandria, relaxed with PBE.
Lines closer than 0.1° are merged.

Main lines, low angle first (2θ from 10° to 90°):
2θ (°)	I (rel.)	hkl
13.54	51.7	0 0 1
22.16	74.0	1 1 -1
22.96	38.3	2 0 -2
28.80	54.0	3 1 -1
31.81	45.7	3 1 -2
32.09	44.3	3 1 0
34.47	78.2	4 0 0
38.39	100.0	0 2 0
39.85	64.8	3 1 -3
42.13	83.7	1 1 -3
45.09	52.5	5 1 -3
52.54	47.3	4 2 0

Structure:
```
data_Bi2As2Pd5
_chemical_formula_sum 'Bi4 As4 Pd10'
_cell_length_a 12.3976
_cell_length_b 4.6895
_cell_length_c 7.7870
_cell_angle_alpha 90.00
_cell_angle_beta 122.90
_cell_angle_gamma 90.00
_space_group_name_H-M_alt 'C 1 2/m 1'
_space_group_IT_number 12
_space_group_name_Hall '-C 2y'
loop_
_atom_site_label
_atom_site_type_symbol
_atom_site_fract_x
_atom_site_fract_y
_atom_site_fract_z
Bi1 Bi 0.1289 0.0000 0.4174
As1 As 0.1220 0.5000 0.8926
Pd1 Pd 0.0000 0.5000 0.5000
Pd2 Pd 0.1113 0.5000 0.2033
Pd3 Pd 0.1467 0.0000 0.7859
```